This entry pairs a crystal structure of Ba2VBiO6 with its calculated powder X-ray diffraction pattern. Radiation: Cu Kα (weighted mean of Kα1 and Kα2). Structure: a PBE+U-relaxed structure.

Principal peaks in the range 2θ from 10° to 90°, by intensity:
| Position (°2θ) | d_spacing | intensity | h k l |
| --- | --- | --- | --- |
| 29.8 | 3.002 | 100 | 2 2 0 |
| 52.8 | 1.733 | 40 | 4 2 2 |
| 42.6 | 2.123 | 29 | 4 0 0 |
| 85.6 | 1.135 | 22 | 6 4 2 |
| 70.1 | 1.342 | 19 | 6 2 0 |
| 61.8 | 1.501 | 18 | 4 4 0 |
| 18.1 | 4.902 | 17 | 1 1 1 |
| 35.1 | 2.560 | 14 | 3 1 1 |
| 46.6 | 1.948 | 8 | 3 3 1 |
| 78.0 | 1.225 | 6 | 4 4 4 |

Structure:
```
data_Ba2VBiO6
_chemical_formula_sum 'Ba8 V4 Bi4 O24'
_symmetry_space_group_name_H-M 'F m -3 m'
_symmetry_Int_Tables_number 225
_symmetry_space_group_name_Hall '-F 4 2 3'
_cell_length_a 8.4901
_cell_length_b 8.4901
_cell_length_c 8.4901
_cell_angle_alpha 90.00
_cell_angle_beta 90.00
_cell_angle_gamma 90.00
loop_
_atom_site_label
_atom_site_type_symbol
_atom_site_fract_x
_atom_site_fract_y
_atom_site_fract_z
Ba1 Ba 0.2500 0.2500 0.2500
V1 V 0.0000 0.0000 0.0000
Bi1 Bi 0.0000 0.0000 0.5000
O1 O 0.0000 0.0000 0.2260
```

This entry pairs a crystal structure of V4OF11 with its calculated powder X-ray diffraction pattern. Radiation: Cu Kα (weighted mean of Kα1 and Kα2). Structure: a PBE+U-relaxed structure.

Principal peaks in the range 2θ from 10° to 90°, by intensity:
| Position (°2θ) | d_spacing | intensity | h k l |
| --- | --- | --- | --- |
| 23.4 | 3.800 | 100 | 0 0 2 |
| 23.7 | 3.759 | 51 | 1 -1 0 |
| 39.5 | 2.282 | 19 | 2 1 1 |
| 32.9 | 2.721 | 14 | 0 2 0 |
| 53.6 | 1.709 | 13 | -2 2 2 |
| 53.1 | 1.725 | 13 | 1 1 4 |
| 53.2 | 1.720 | 12 | 1 3 0 |
| 47.9 | 1.900 | 11 | 0 0 4 |
| 47.9 | 1.901 | 11 | 2 2 0 |
| 48.4 | 1.879 | 10 | 2 -2 0 |

Structure:
```
data_V4OF11
_chemical_formula_sum 'V4 O1 F11'
_symmetry_space_group_name_H-M 'P 1'
_symmetry_Int_Tables_number 1
_cell_length_a 5.2565
_cell_length_b 5.4472
_cell_length_c 7.6103
_cell_angle_alpha 87.00
_cell_angle_beta 89.98
_cell_angle_gamma 89.36
loop_
_symmetry_equiv_pos_as_xyz
'x,y,z'
loop_
_atom_site_label
_atom_site_type_symbol
_atom_site_fract_x
_atom_site_fract_y
_atom_site_fract_z
V1 V 0.0000 0.0000 0.0000
V2 V 0.0039 0.9957 0.5010
V3 V 0.5030 0.4963 0.5010
V4 V 0.5249 0.4814 0.9967
O1 O 0.7776 0.2927 0.9622
F1 F 0.1023 0.0027 0.7508
F2 F 0.1978 0.2991 0.4512
F3 F 0.2211 0.7023 0.0413
F4 F 0.2934 0.2078 0.0525
F5 F 0.3117 0.8017 0.4498
F6 F 0.4026 0.5003 0.7515
F7 F 0.5987 0.4977 0.2505
F8 F 0.6972 0.1920 0.5541
F9 F 0.7066 0.7897 0.9481
F10 F 0.8097 0.6925 0.5508
F11 F 0.9069 0.9875 0.2514
```

This entry pairs a crystal structure of Ba2Mn2Sb2O with its calculated powder X-ray diffraction pattern. Radiation: Cu Kα (weighted mean of Kα1 and Kα2). Structure: a PBE+U-relaxed structure.

Principal peaks in the range 2θ from 10° to 90°, by intensity:
| Position (°2θ) | d_spacing | intensity | h k l |
| --- | --- | --- | --- |
| 27.7 | 3.215 | 100 | 1 0 4 |
| 37.5 | 2.401 | 52 | 1 1 0 |
| 52.5 | 1.743 | 25 | 1 1 8 |
| 47.2 | 1.924 | 23 | 2 0 4 |
| 61.8 | 1.501 | 20 | 2 1 4 |
| 25.1 | 3.542 | 20 | 1 0 3 |
| 35.4 | 2.535 | 13 | 0 0 8 |
| 37.8 | 2.377 | 12 | 1 0 7 |
| 67.6 | 1.386 | 9 | 3 0 0 |
| 86.5 | 1.125 | 8 | 3 1 4 |

Structure:
```
data_Ba2Mn2Sb2O
_chemical_formula_sum 'Ba4 Mn4 Sb4 O2'
_symmetry_space_group_name_H-M 'P 63/m m c'
_symmetry_Int_Tables_number 194
_symmetry_space_group_name_Hall '-P 6c 2c'
_cell_length_a 4.8019
_cell_length_b 4.8019
_cell_length_c 20.2806
_cell_angle_alpha 90.00
_cell_angle_beta 90.00
_cell_angle_gamma 120.00
loop_
_atom_site_label
_atom_site_type_symbol
_atom_site_fract_x
_atom_site_fract_y
_atom_site_fract_z
Ba1 Ba 0.0000 0.0000 0.0000
Ba2 Ba 0.0000 0.0000 0.2500
Mn1 Mn 0.3333 0.6667 0.1491
Sb1 Sb 0.3333 0.6667 0.6114
O1 O 0.3333 0.6667 0.2500
```

This entry pairs a crystal structure of Sr2NiWO6 with its calculated powder X-ray diffraction pattern. Radiation: Cu Kα (weighted mean of Kα1 and Kα2). Structure: a PBE+U-relaxed structure.

Principal peaks in the range 2θ from 10° to 90°, by intensity:
| Position (°2θ) | d_spacing | intensity | h k l |
| --- | --- | --- | --- |
| 31.6 | 2.834 | 100 | 2 2 0 |
| 56.2 | 1.636 | 40 | 4 2 2 |
| 45.2 | 2.004 | 32 | 4 0 0 |
| 19.2 | 4.628 | 21 | 1 1 1 |
| 65.9 | 1.417 | 19 | 4 4 0 |
| 74.9 | 1.267 | 17 | 6 2 0 |
| 37.2 | 2.417 | 11 | 3 1 1 |
| 22.2 | 4.008 | 9 | 2 0 0 |
| 83.6 | 1.157 | 7 | 4 4 4 |
| 49.6 | 1.839 | 5 | 3 3 1 |

Structure:
```
data_Sr2NiWO6
_chemical_formula_sum 'Sr8 Ni4 W4 O24'
_symmetry_space_group_name_H-M 'F m -3 m'
_symmetry_Int_Tables_number 225
_symmetry_space_group_name_Hall '-F 4 2 3'
_cell_length_a 8.0163
_cell_length_b 8.0163
_cell_length_c 8.0163
_cell_angle_alpha 90.00
_cell_angle_beta 90.00
_cell_angle_gamma 90.00
loop_
_atom_site_label
_atom_site_type_symbol
_atom_site_fract_x
_atom_site_fract_y
_atom_site_fract_z
Sr1 Sr 0.2500 0.2500 0.2500
Ni1 Ni 0.0000 0.0000 0.0000
W1 W 0.0000 0.0000 0.5000
O1 O 0.0000 0.0000 0.2574
```

This entry pairs a crystal structure of MnTeMoO6 with its calculated powder X-ray diffraction pattern. Radiation: Cu Kα (weighted mean of Kα1 and Kα2). Structure: a PBE+U-relaxed structure.

Principal peaks in the range 2θ from 10° to 90°, by intensity:
| Position (°2θ) | d_spacing | intensity | h k l |
| --- | --- | --- | --- |
| 30.6 | 2.919 | 100 | 1 -1 2 |
| 30.8 | 2.899 | 96 | 1 1 -2 |
| 19.1 | 4.651 | 59 | 0 0 2 |
| 25.8 | 3.447 | 56 | 1 0 2 |
| 23.7 | 3.749 | 47 | 1 -1 0 |
| 24.0 | 3.708 | 45 | 1 1 0 |
| 33.1 | 2.708 | 29 | 0 2 0 |
| 49.1 | 1.854 | 25 | 2 2 0 |
| 34.9 | 2.570 | 23 | 2 0 0 |
| 48.6 | 1.874 | 23 | 2 -2 0 |

Structure:
```
data_MnTeMoO6
_chemical_formula_sum 'Mn2 Te2 Mo2 O12'
_symmetry_space_group_name_H-M 'P 1'
_symmetry_Int_Tables_number 1
_cell_length_a 5.1405
_cell_length_b 5.4159
_cell_length_c 9.3027
_cell_angle_alpha 90.06
_cell_angle_beta 90.12
_cell_angle_gamma 90.63
loop_
_symmetry_equiv_pos_as_xyz
'x,y,z'
loop_
_atom_site_label
_atom_site_type_symbol
_atom_site_fract_x
_atom_site_fract_y
_atom_site_fract_z
Mn1 Mn 0.0000 0.0000 0.0000
Mn2 Mn 0.4997 0.4988 0.9369
Te1 Te 0.4995 0.9984 0.7251
Te2 Te 0.9994 0.4984 0.2076
Mo1 Mo 0.4992 0.9975 0.2667
Mo2 Mo 0.9994 0.4982 0.6564
O1 O 0.1565 0.2910 0.5442
O2 O 0.2146 0.6735 0.0727
O3 O 0.2406 0.1807 0.1679
O4 O 0.2602 0.6768 0.7579
O5 O 0.2794 0.1648 0.8595
O6 O 0.3389 0.7913 0.3798
O7 O 0.6591 0.2052 0.3795
O8 O 0.7198 0.8329 0.8600
O9 O 0.7387 0.3204 0.7576
O10 O 0.7583 0.8142 0.1686
O11 O 0.7841 0.3225 0.0722
O12 O 0.8420 0.7053 0.5443
```